# 1
# In2Pd3Pt7
Calculated powder XRD pattern, a wavelength of 1.5418 Å. Input: a structure optimized by DFT (GGA-PBE).

Most intense lines, 2θ = 15–90°, by intensity:
- (1 1 2), 2θ 39.9, d 2.261, intensity 100.0
- (1 1 -2), 2θ 38.3, d 2.350, intensity 45.3
- (1 1 -5), 2θ 45.9, d 1.977, intensity 44.8
- (0 0 6), 2θ 34.3, d 2.611, intensity 39.1
- (2 0 0), 2θ 39.2, d 2.298, intensity 37.3
- (1 0 -6), 2θ 37.3, d 2.410, intensity 31.5
- (2 0 -3), 2θ 40.8, d 2.213, intensity 30.8
- (0 0 3), 2θ 17.0, d 5.222, intensity 29.0
- (0 0 7), 2θ 40.3, d 2.238, intensity 27.6
- (1 1 5), 2θ 49.3, d 1.850, intensity 22.1

Structural model:
Cell lengths 4.6374, 2.8312, 15.8010 Å; angles 90.00, 97.52, 90.00 degrees
Space group P2/m (No. 10)
Symmetry-distinct sites (fractional):
In (0.1536, 0.0000, 0.2958) x2
Pd (0.0000, 0.0000, 0.0000) x1
Pd (0.3070, 0.5000, 0.6256) x2
Pt (0.2275, 0.5000, 0.1517) x2
Pt (0.2332, 0.0000, 0.4623) x2
Pt (0.2788, 0.0000, 0.8473) x2
Pt (0.5000, 0.5000, 0.0000) x1

---

# 2
# Ba2SmInTe5
Calculated powder XRD pattern, a wavelength of 1.5418 Å. Input: a structure optimized by DFT (GGA-PBE).

Most intense lines, 2θ = 15–90°, by intensity:
- (1 1 3), 2θ 27.2, d 3.275, intensity 100.0
- (0 6 1), 2θ 26.6, d 3.351, intensity 56.9
- (1 5 2), 2θ 31.6, d 2.829, intensity 41.0
- (2 0 0), 2θ 39.0, d 2.308, intensity 29.4
- (2 6 1), 2θ 47.9, d 1.901, intensity 27.9
- (1 7 4), 2θ 44.3, d 2.043, intensity 24.7
- (1 3 2), 2θ 26.4, d 3.381, intensity 15.1
- (1 1 2), 2θ 23.3, d 3.812, intensity 14.6
- (2 2 6), 2θ 56.2, d 1.637, intensity 14.1
- (1 5 3), 2θ 34.7, d 2.588, intensity 13.0

Structural model:
Cell lengths 4.6153, 20.6798, 14.3134 Å; angles 90.00, 90.00, 90.00 degrees
Space group Cmc2_1 (No. 36)
Symmetry-distinct sites (fractional):
Ba (0.0000, 0.1190, 0.0000) x4
Ba (0.0000, 0.1290, 0.6340) x4
Sm (0.0000, 0.2097, 0.3360) x4
In (0.0000, 0.4425, 0.7548) x4
Te (0.0000, 0.0495, 0.3729) x4
Te (0.0000, 0.2916, 0.9824) x4
Te (0.0000, 0.3109, 0.6808) x4
Te (0.0000, 0.3569, 0.3194) x4
Te (0.0000, 0.4967, 0.0821) x4

---

# 3
# NaLaTc2O8
Calculated powder XRD pattern, a wavelength of 1.5418 Å. Input: a structure optimized by DFT (GGA-PBE).

Most intense lines, 2θ = 15–90°, by intensity:
- (1 1 2), 2θ 27.8, d 3.207, intensity 100.0
- (2 0 4), 2θ 45.4, d 1.996, intensity 29.9
- (1 3 2), 2θ 56.2, d 1.637, intensity 27.3
- (1 0 1), 2θ 18.1, d 4.906, intensity 18.5
- (2 0 0), 2θ 33.3, d 2.693, intensity 18.4
- (1 1 6), 2θ 52.0, d 1.758, intensity 16.8
- (0 0 4), 2θ 30.1, d 2.974, intensity 14.3
- (2 2 0), 2θ 47.8, d 1.904, intensity 12.6
- (3 1 6), 2θ 73.3, d 1.292, intensity 12.4
- (2 2 4), 2θ 57.5, d 1.603, intensity 11.8

Structural model:
Cell lengths 5.3851, 5.3851, 11.8943 Å; angles 90.00, 90.00, 90.00 degrees
Space group I-4 (No. 82)
Symmetry-distinct sites (fractional):
Na (0.0000, 0.0000, 0.0000) x2
La (0.0000, 0.5000, 0.7500) x2
Tc (0.0000, 0.0000, 0.5000) x2
Tc (0.0000, 0.5000, 0.2500) x2
O (0.1378, 0.2416, 0.5825) x8
O (0.1481, 0.7471, 0.1735) x8

---

# 4
# Y3Pu
Calculated powder XRD pattern, a wavelength of 1.5418 Å. Input: a structure optimized by DFT (GGA-PBE).

Most intense lines, 2θ = 15–90°, by intensity:
- (1 2 1), 2θ 33.1, d 2.704, intensity 100.0
- (0 2 2), 2θ 32.9, d 2.723, intensity 52.0
- (0 4 0), 2θ 31.3, d 2.854, intensity 37.9
- (1 0 1), 2θ 29.1, d 3.070, intensity 28.9
- (0 1 1), 2θ 16.3, d 5.446, intensity 27.7
- (1 4 3), 2θ 61.3, d 1.512, intensity 22.0
- (1 6 1), 2θ 56.9, d 1.617, intensity 21.1
- (1 4 1), 2θ 43.3, d 2.090, intensity 19.8
- (1 0 3), 2θ 51.2, d 1.783, intensity 19.0
- (2 2 2), 2θ 62.7, d 1.482, intensity 17.5

Structural model:
Cell lengths 3.5339, 11.4157, 6.1965 Å; angles 90.00, 90.00, 90.00 degrees
Space group Imm2 (No. 44)
Symmetry-distinct sites (fractional):
Y (0.0000, 0.0000, 0.0000) x2
Y (0.0000, 0.2463, 0.6623) x4
Pu (0.0000, 0.5000, 0.9909) x2

---

# 5
# CrFeS
Calculated powder XRD pattern, a wavelength of 1.5418 Å. Input: a structure optimized by DFT (GGA-PBE).

Most intense lines, 2θ = 15–90°, by intensity:
- (1 3 1), 2θ 44.8, d 2.022, intensity 100.0
- (0 8 1), 2θ 48.0, d 1.897, intensity 91.5
- (1 1 1), 2θ 42.3, d 2.139, intensity 64.4
- (1 5 0), 2θ 43.0, d 2.103, intensity 46.5
- (0 0 2), 2θ 48.2, d 1.887, intensity 46.1
- (0 6 1), 2θ 38.9, d 2.312, intensity 35.2
- (1 5 2), 2θ 66.6, d 1.404, intensity 22.1
- (0 2 2), 2θ 49.4, d 1.844, intensity 15.7
- (1 11 0), 2θ 68.8, d 1.364, intensity 14.7
- (1 9 0), 2θ 59.0, d 1.566, intensity 13.9

Structural model:
Cell lengths 2.6251, 17.5584, 3.7732 Å; angles 90.00, 90.00, 90.00 degrees
Space group Cmcm (No. 63)
Symmetry-distinct sites (fractional):
Cr (0.0000, 0.0916, 0.2500) x4
Fe (0.0000, 0.4643, 0.2500) x4
S (0.0000, 0.3417, 0.2500) x4

---

# 6
# Tb5Pm3Sc2
Calculated powder XRD pattern, a wavelength of 1.5418 Å. Input: a structure optimized by DFT (GGA-PBE).

Most intense lines, 2θ = 15–90°, by intensity:
- (2 0 1), 2θ 30.4, d 2.942, intensity 100.0
- (1 -3 0), 2θ 31.3, d 2.857, intensity 78.2
- (2 2 -2), 2θ 33.5, d 2.678, intensity 41.9
- (2 -2 0), 2θ 23.9, d 3.727, intensity 21.0
- (-3 3 3), 2θ 50.2, d 1.817, intensity 18.2
- (-5 1 5), 2θ 61.7, d 1.503, intensity 18.2
- (-1 1 3), 2θ 35.8, d 2.507, intensity 17.2
- (4 2 -5), 2θ 57.9, d 1.592, intensity 16.0
- (-1 3 4), 2θ 66.0, d 1.416, intensity 15.4
- (6 -4 1), 2θ 69.6, d 1.352, intensity 14.6

Structural model:
Cell lengths 9.1755, 9.1821, 9.6143 Å; angles 108.95, 108.94, 108.61 degrees
Space group P-1 (No. 2)
Symmetry-distinct sites (fractional):
Tb (0.0236, 0.2737, 0.0472) x2
Tb (0.1051, 0.3736, 0.7218) x2
Tb (0.2191, 0.4688, 0.4379) x2
Tb (0.2808, 0.0307, 0.5615) x2
Tb (0.3838, 0.1518, 0.2785) x2
Pm (0.0268, 0.9788, 0.7482) x2
Pm (0.2787, 0.7304, 0.2519) x2
Pm (0.4842, 0.2336, 0.9683) x2
Sc (0.2200, 0.7641, 0.7285) x2
Sc (0.4915, 0.5356, 0.2707) x2

---

# 7
# La4ErGa5
Calculated powder XRD pattern, a wavelength of 1.5418 Å. Input: a structure optimized by DFT (GGA-PBE).

Most intense lines, 2θ = 15–90°, by intensity:
- (1 0 5), 2θ 33.9, d 2.642, intensity 100.0
- (1 1 0), 2θ 34.2, d 2.620, intensity 51.5
- (2 1 5), 2θ 61.1, d 1.517, intensity 36.0
- (2 0 0), 2θ 49.2, d 1.853, intensity 18.4
- (1 1 10), 2θ 60.5, d 1.529, intensity 15.8
- (1 0 0), 2θ 24.0, d 3.706, intensity 13.0
- (2 0 10), 2θ 71.4, d 1.321, intensity 9.6
- (3 1 0), 2θ 82.3, d 1.172, intensity 8.1
- (0 0 10), 2θ 48.3, d 1.883, intensity 7.8
- (3 0 5), 2θ 82.1, d 1.174, intensity 7.7

Structural model:
Cell lengths 3.7057, 3.7057, 18.8332 Å; angles 90.00, 90.00, 90.00 degrees
Space group P4/mmm (No. 123)
Symmetry-distinct sites (fractional):
La (0.0000, 0.0000, 0.1026) x2
La (0.0000, 0.0000, 0.3080) x2
Er (0.0000, 0.0000, 0.5000) x1
Ga (0.5000, 0.5000, 0.0000) x1
Ga (0.5000, 0.5000, 0.2055) x2
Ga (0.5000, 0.5000, 0.4151) x2

---

# 8
# Ho6TlTe
Calculated powder XRD pattern, a wavelength of 1.5418 Å. Input: a structure optimized by DFT (GGA-PBE).

Most intense lines, 2θ = 15–90°, by intensity:
- (0 1 -2), 2θ 32.7, d 2.739, intensity 100.0
- (1 -2 1), 2θ 35.9, d 2.501, intensity 76.0
- (2 0 0), 2θ 29.2, d 3.063, intensity 33.0
- (2 -1 3), 2θ 56.2, d 1.638, intensity 26.7
- (0 3 2), 2θ 54.0, d 1.699, intensity 20.1
- (4 0 0), 2θ 60.5, d 1.531, intensity 17.0
- (2 1 -3), 2θ 56.2, d 1.636, intensity 15.6
- (2 -4 1), 2θ 70.5, d 1.336, intensity 11.6
- (4 -1 2), 2θ 70.4, d 1.337, intensity 10.3
- (0 5 -2), 2θ 85.4, d 1.137, intensity 10.1

Structural model:
Cell lengths 6.1241, 6.1257, 6.1268 Å; angles 89.94, 89.89, 89.95 degrees
Space group P-1 (No. 2)
Symmetry-distinct sites (fractional):
Ho (0.9996, 0.0015, 0.2465) x2
Ho (0.2466, 0.4997, 0.4999) x2
Ho (0.4997, 0.2537, 0.9987) x2
Tl (0.0000, 0.5000, 0.0000) x1
Te (0.5000, 0.0000, 0.5000) x1

---

# 9
# Nd2Dy12Tm
Calculated powder XRD pattern, a wavelength of 1.5418 Å. Input: a structure optimized by DFT (GGA-PBE).

Most intense lines, 2θ = 15–90°, by intensity:
- (0 4 0), 2θ 31.7, d 2.826, intensity 100.0
- (2 2 2), 2θ 30.7, d 2.909, intensity 96.8
- (0 2 8), 2θ 33.1, d 2.710, intensity 82.8
- (2 2 6), 2θ 37.1, d 2.421, intensity 69.2
- (0 2 7), 2θ 29.8, d 2.993, intensity 62.0
- (2 2 4), 2θ 33.3, d 2.694, intensity 61.1
- (2 0 4), 2θ 29.1, d 3.064, intensity 32.1
- (4 4 0), 2θ 62.0, d 1.497, intensity 30.5
- (0 0 15), 2θ 55.8, d 1.647, intensity 27.9
- (2 2 3), 2θ 31.8, d 2.813, intensity 27.0

Structural model:
Cell lengths 7.0592, 11.3022, 24.7027 Å; angles 90.00, 90.00, 90.00 degrees
Space group Cmme (No. 67)
Symmetry-distinct sites (fractional):
Nd (0.0000, 0.2500, 0.2304) x4
Nd (0.0000, 0.2500, 0.7644) x4
Dy (0.0000, 0.9997, 0.4236) x8
Dy (0.0000, 0.0141, 0.0613) x8
Dy (0.2383, 0.2500, 0.9157) x8
Dy (0.2494, 0.2500, 0.3752) x8
Dy (0.2500, 0.0000, 0.1729) x8
Dy (0.2500, 0.0000, 0.3022) x8
Tm (0.0000, 0.2500, 0.5000) x4

---

# 10
# HoGa4NiPd2
Calculated powder XRD pattern, a wavelength of 1.5418 Å. Input: a structure optimized by DFT (GGA-PBE).

Most intense lines, 2θ = 15–90°, by intensity:
- (1 1 0), 2θ 42.6, d 2.124, intensity 100.0
- (0 1 8), 2θ 37.2, d 2.415, intensity 95.7
- (0 1 5), 2θ 29.9, d 2.988, intensity 28.3
- (2 0 8), 2θ 57.8, d 1.595, intensity 26.0
- (1 2 8), 2θ 74.4, d 1.275, intensity 24.1
- (1 0 4), 2θ 28.0, d 3.190, intensity 17.9
- (3 0 0), 2θ 77.9, d 1.226, intensity 16.1
- (1 1 12), 2θ 61.6, d 1.505, intensity 12.8
- (0 1 11), 2θ 46.1, d 1.967, intensity 12.6
- (1 0 7), 2θ 34.6, d 2.594, intensity 11.9

Structural model:
Cell lengths 4.2477, 4.2477, 25.6113 Å; angles 90.00, 90.00, 120.00 degrees
Space group R-3m (No. 166, hexagonal axes)
Symmetry-distinct sites (fractional):
Ho (0.0000, 0.0000, 0.0000) x3
Ga (0.0000, 0.0000, 0.1352) x6
Ga (0.0000, 0.0000, 0.3995) x6
Ni (0.0000, 0.0000, 0.5000) x3
Pd (0.0000, 0.0000, 0.2405) x6

---

# 11
# Er3BIr3Rh2
Calculated powder XRD pattern, a wavelength of 1.5418 Å. Input: a structure optimized by DFT (GGA-PBE).

Most intense lines, 2θ = 15–90°, by intensity:
- (1 1 1), 2θ 36.8, d 2.445, intensity 100.0
- (2 1 0), 2θ 37.9, d 2.371, intensity 85.5
- (2 0 1), 2θ 39.6, d 2.278, intensity 39.6
- (2 1 2), 2θ 69.2, d 1.358, intensity 29.9
- (2 1 1), 2θ 47.1, d 1.928, intensity 27.7
- (3 1 1), 2θ 60.1, d 1.540, intensity 22.3
- (4 1 1), 2θ 75.1, d 1.265, intensity 18.8
- (1 0 1), 2θ 30.5, d 2.930, intensity 16.2
- (3 0 0), 2θ 43.3, d 2.091, intensity 15.7
- (3 2 1), 2θ 71.5, d 1.320, intensity 15.3

Structural model:
Cell lengths 7.2436, 7.2436, 3.3134 Å; angles 90.00, 90.00, 120.00 degrees
Space group P-62m (No. 189)
Symmetry-distinct sites (fractional):
Er (0.0000, 0.6071, 0.0000) x3
B (0.0000, 0.0000, 0.0000) x1
Ir (0.0000, 0.2215, 0.5000) x3
Rh (0.3333, 0.6667, 0.5000) x2

---

# 12
# Ce7Si3As
Calculated powder XRD pattern, a wavelength of 1.5418 Å. Input: a structure optimized by DFT (GGA-PBE).

Most intense lines, 2θ = 15–90°, by intensity:
- (1 3 2), 2θ 38.0, d 2.365, intensity 100.0
- (1 1 2), 2θ 24.6, d 3.618, intensity 88.1
- (2 0 0), 2θ 31.7, d 2.823, intensity 76.9
- (0 0 4), 2θ 32.1, d 2.785, intensity 71.4
- (2 0 4), 2θ 45.8, d 1.983, intensity 53.1
- (0 3 1), 2θ 31.4, d 2.849, intensity 29.2
- (3 3 2), 2θ 60.7, d 1.525, intensity 25.2
- (1 3 6), 2θ 61.2, d 1.513, intensity 22.8
- (2 3 1), 2θ 45.2, d 2.005, intensity 21.3
- (2 6 0), 2θ 72.3, d 1.306, intensity 17.7

Structural model:
Cell lengths 5.6452, 8.8408, 11.1414 Å; angles 90.00, 90.00, 90.00 degrees
Space group Immm (No. 71)
Symmetry-distinct sites (fractional):
Ce (0.0000, 0.0000, 0.0000) x2
Ce (0.0000, 0.1566, 0.5000) x4
Ce (0.0000, 0.3463, 0.2399) x8
Si (0.0000, 0.0000, 0.2640) x4
Si (0.0000, 0.5000, 0.0000) x2
As (0.0000, 0.5000, 0.5000) x2

---

# 13
# Dy3Y2S4
Calculated powder XRD pattern, a wavelength of 1.5418 Å. Input: a structure optimized by DFT (GGA-PBE).

Most intense lines, 2θ = 15–90°, by intensity:
- (1 0 3), 2θ 31.6, d 2.831, intensity 100.0
- (0 1 2), 2θ 28.9, d 3.085, intensity 42.1
- (1 1 0), 2θ 47.0, d 1.932, intensity 38.4
- (1 0 1), 2θ 27.2, d 3.275, intensity 26.7
- (0 1 6), 2θ 43.5, d 2.080, intensity 22.8
- (0 0 5), 2θ 28.0, d 3.186, intensity 22.2
- (1 1 5), 2θ 55.6, d 1.652, intensity 20.6
- (0 1 4), 2θ 35.0, d 2.562, intensity 19.9
- (0 2 3), 2θ 57.8, d 1.596, intensity 17.3
- (0 1 7), 2θ 48.4, d 1.882, intensity 15.1

Structural model:
Cell lengths 3.8644, 3.8644, 15.9285 Å; angles 90.00, 90.00, 120.00 degrees
Space group P-3m1 (No. 164)
Symmetry-distinct sites (fractional):
Dy (0.0000, 0.0000, 0.0000) x1
Dy (0.3333, 0.6667, 0.5903) x2
Y (0.3333, 0.6667, 0.2056) x2
S (0.0000, 0.0000, 0.3063) x2
S (0.3333, 0.6667, 0.8981) x2